(1)
The following is a simulated powder X-ray diffraction pattern of LiIn2Ge2Rh5. It was derived from a DFT-relaxed cell (GGA-PBE, Alexandria), using Cu Kα (weighted mean of Kα1 and Kα2).
No peak broadening, texture or thermal motion is included.

Atomic structure:
```
20
Lattice="9.7133 0.0000 0.0000 0.0000 9.7133 0.0000 0.0000 0.0000 3.3855" Properties=species:S:1:pos:R:3 pbc="T T T"
Li 0.0000 0.0000 0.0000
Li 4.8566 4.8566 0.0000
In 1.6623 3.1944 0.0000
In 3.1944 8.0510 0.0000
In 6.5189 1.6623 0.0000
In 8.0510 6.5189 0.0000
Ge 1.2784 6.1351 0.0000
Ge 3.5782 1.2784 0.0000
Ge 6.1351 8.4348 0.0000
Ge 8.4348 3.5782 0.0000
Rh 0.0000 4.8566 1.6928
Rh 0.7563 7.7969 1.6928
Rh 1.9164 0.7563 1.6928
Rh 2.9403 5.6129 1.6928
Rh 4.1004 2.9403 1.6928
Rh 4.8566 0.0000 1.6928
Rh 5.6129 6.7730 1.6928
Rh 6.7730 4.1004 1.6928
Rh 7.7969 8.9570 1.6928
Rh 8.9570 1.9164 1.6928
```

Largest 12 diffraction maxima, by angle, 10° ≤ 2θ ≤ 90°:
d = 6.868 Å, intensity 20, hkl 1 1 0
d = 2.777 Å, intensity 16, hkl 2 0 1
d = 2.670 Å, intensity 22, hkl 2 1 1
d = 2.356 Å, intensity 55, hkl 4 1 0
d = 2.289 Å, intensity 27, hkl 3 3 0
d = 2.275 Å, intensity 100, hkl 3 1 1
d = 2.172 Å, intensity 15, hkl 4 2 0
d = 2.108 Å, intensity 43, hkl 3 2 1
d = 1.973 Å, intensity 16, hkl 4 0 1
d = 1.693 Å, intensity 20, hkl 0 0 2
d = 1.399 Å, intensity 20, hkl 6 2 1
d = 1.374 Å, intensity 35, hkl 5 5 0

(2)
The following is a simulated powder X-ray diffraction pattern of Zn2B2PbO6. It was derived from a DFT-relaxed cell (GGA-PBE, Alexandria), using Cu Kα (weighted mean of Kα1 and Kα2).
No peak broadening, texture or thermal motion is included.

Atomic structure:
```
44
Lattice="5.0353 0.0000 0.0000 0.0000 11.5185 0.0000 0.0000 0.0000 10.7709" Properties=species:S:1:pos:R:3 pbc="T T T"
Zn 0.9299 0.0243 1.6232
Zn 0.9299 5.7349 7.0086
Zn 1.5878 0.0243 7.0086
Zn 1.5878 5.7349 1.6232
Zn 3.4475 5.7836 9.1477
Zn 3.4475 11.4942 3.7622
Zn 4.1054 5.7836 3.7622
Zn 4.1054 11.4942 9.1477
B 0.9880 1.1706 4.4695
B 0.9880 4.5887 9.8550
B 1.5296 1.1706 9.8550
B 1.5296 4.5887 4.4695
B 3.5057 6.9298 6.3013
B 3.5057 10.3479 0.9159
B 4.0472 6.9298 0.9159
B 4.0472 10.3479 6.3013
Pb 1.2588 8.6389 4.7774
Pb 1.2588 8.6389 10.1628
Pb 3.7765 2.8796 0.6080
Pb 3.7765 2.8796 5.9935
O 0.3797 7.1911 0.9843
O 0.3797 10.0866 6.3698
O 0.8045 1.4202 0.2351
O 0.8045 4.3390 5.6206
O 0.8916 0.6173 8.7546
O 0.8916 5.1419 3.3692
O 1.6261 0.6173 3.3692
O 1.6261 5.1419 8.7546
O 1.7132 1.4202 5.6206
O 1.7132 4.3390 0.2351
O 2.1380 7.1911 6.3698
O 2.1380 10.0866 0.9843
O 2.8973 1.4319 9.7865
O 2.8973 4.3274 4.4011
O 3.3221 7.1795 10.5357
O 3.3221 10.0983 5.1503
O 3.4092 6.3766 2.0163
O 3.4092 10.9012 7.4017
O 4.1437 6.3766 7.4017
O 4.1437 10.9012 2.0163
O 4.2308 7.1795 5.1503
O 4.2308 10.0983 10.5357
O 4.6556 1.4319 4.4011
O 4.6556 4.3274 9.7865
```

Largest 12 diffraction maxima, by angle, 10° ≤ 2θ ≤ 90°:
d = 5.385 Å, intensity 34, hkl 0 0 2
d = 4.614 Å, intensity 67, hkl 1 1 0
d = 3.934 Å, intensity 76, hkl 0 2 2
d = 3.504 Å, intensity 49, hkl 1 1 2
d = 3.126 Å, intensity 29, hkl 0 3 2
d = 3.100 Å, intensity 100, hkl 1 2 2
d = 3.053 Å, intensity 59, hkl 1 3 0
d = 2.880 Å, intensity 27, hkl 0 4 0
d = 2.656 Å, intensity 30, hkl 1 3 2
d = 2.518 Å, intensity 28, hkl 2 0 0
d = 2.120 Å, intensity 30, hkl 2 2 2
d = 1.832 Å, intensity 33, hkl 1 4 4